1.
This entry pairs a crystal structure of LaSm2Er12 with its computed powder X-ray diffraction pattern. Radiation: Cu Ka. Structure: a PBE-relaxed structure.
No peak broadening, texture or thermal motion is included.

Largest 8 diffraction maxima, most intense first, 2θ = 5–70°:
d [Å], Rel. int.
2.863, 1000
2.800, 834
2.926, 731
2.754, 513
2.615, 492
2.646, 358
1.964, 290
3.000, 269

```
LaSm2Er12
1.0
3.5517 0.0000 0.0000
0.0000 5.6004 0.0000
-1.7660 0.0000 24.0231
La Sm Er
1 2 12
direct
0.0000 0.0000 0.0000 La
0.3592 0.0000 0.7171 Sm
0.6408 0.0000 0.2829 Sm
0.0956 0.5000 0.1937 Er
0.1655 0.5000 0.3310 Er
0.2145 0.0000 0.4278 Er
0.2770 0.5000 0.5548 Er
0.4324 0.0000 0.8612 Er
0.4660 0.5000 0.9313 Er
0.5340 0.5000 0.0687 Er
0.5676 0.0000 0.1388 Er
0.7230 0.5000 0.4452 Er
0.7855 0.0000 0.5722 Er
0.8345 0.5000 0.6690 Er
0.9044 0.5000 0.8063 Er
```

2.
This entry pairs a crystal structure of ErTlP2Se6 with its computed powder X-ray diffraction pattern. Radiation: Cu Ka. Structure: a PBE-relaxed structure.
No peak broadening, texture or thermal motion is included.

Largest 8 diffraction maxima, most intense first, 2θ = 5–70°:
d [Å], Rel. int.
3.085, 1000
2.952, 961
3.572, 956
2.373, 828
2.586, 690
3.008, 674
2.651, 656
5.301, 630

```
ErTlP2Se6
1.0
6.8104 0.0000 0.0000
0.0000 7.5882 0.0000
-0.4078 0.0000 10.6022
Er Tl P Se
2 2 4 12
direct
0.2163 0.0000 0.0021 Er
0.7837 0.5000 0.9979 Er
0.3191 0.2181 0.5053 Tl
0.6809 0.7181 0.4947 Tl
0.1942 0.7314 0.2864 P
0.3195 0.5118 0.1701 P
0.6805 0.0118 0.8299 P
0.8058 0.2314 0.7136 P
0.0654 0.3097 0.8387 Se
0.0795 0.3106 0.1631 Se
0.1570 0.6362 0.4758 Se
0.3751 0.6398 0.9832 Se
0.3977 0.9169 0.7504 Se
0.4047 0.9461 0.2629 Se
0.5953 0.4461 0.7371 Se
0.6023 0.4169 0.2496 Se
0.6249 0.1398 0.0168 Se
0.8430 0.1362 0.5242 Se
0.9205 0.8106 0.8369 Se
0.9346 0.8097 0.1613 Se
```

3.
This entry pairs a crystal structure of TiCu2Sn2 with its computed powder X-ray diffraction pattern. Radiation: Cu Ka. Structure: a PBE-relaxed structure.
No peak broadening, texture or thermal motion is included.

Largest 8 diffraction maxima, most intense first, 2θ = 5–70°:
d [Å], Rel. int.
2.050, 1000
2.343, 747
2.855, 569
3.280, 464
2.275, 458
1.674, 332
1.362, 276
1.348, 205

```
TiCu2Sn2
1.0
-1.6740 1.6740 8.2008
1.6740 -1.6740 8.2008
1.6740 1.6740 -8.2008
Ti Cu Sn
1 2 2
direct
0.0000 0.0000 0.0000 Ti
0.2500 0.7500 0.5000 Cu
0.7500 0.2500 0.5000 Cu
0.3865 0.3865 0.0000 Sn
0.6135 0.6135 0.0000 Sn
```

4.
This entry pairs a crystal structure of Pm3Hg4Au4 with its computed powder X-ray diffraction pattern. Radiation: Cu Ka. Structure: a PBE-relaxed structure.
No peak broadening, texture or thermal motion is included.

Largest 8 diffraction maxima, most intense first, 2θ = 5–70°:
d [Å], Rel. int.
2.666, 1000
2.429, 910
2.371, 452
2.770, 443
1.419, 330
1.430, 255
1.801, 254
3.520, 208

```
Pm3Hg4Au4
1.0
3.5429 0.0000 0.0000
0.0023 4.7428 0.0000
1.7312 2.3529 15.5523
Pm Hg Au
3 4 4
direct
0.0000 0.0000 0.0000 Pm
0.1400 0.6406 0.7203 Pm
0.8600 0.3594 0.2797 Pm
0.2652 0.2654 0.4692 Hg
0.4072 0.9072 0.1838 Hg
0.5928 0.0928 0.8162 Hg
0.7348 0.7346 0.5308 Hg
0.3190 0.8176 0.3642 Au
0.4554 0.4544 0.0893 Au
0.5446 0.5456 0.9107 Au
0.6810 0.1824 0.6358 Au
```

5.
This entry pairs a crystal structure of CoNiI4 with its computed powder X-ray diffraction pattern. Radiation: Cu Ka. Structure: a PBE-relaxed structure.
No peak broadening, texture or thermal motion is included.

Largest 8 diffraction maxima, most intense first, 2θ = 5–70°:
d [Å], Rel. int.
4.839, 1000
2.320, 550
2.958, 418
2.643, 400
3.738, 356
1.785, 255
1.744, 249
2.030, 192

```
CoNiI4
1.0
7.4756 0.0000 0.0000
0.0000 7.4756 0.0000
0.0000 0.0000 9.6787
Co Ni I
2 2 8
direct
0.0000 0.0000 0.0000 Co
0.0000 0.0000 0.5000 Co
0.0000 0.5000 0.0000 Ni
0.5000 0.0000 0.5000 Ni
0.2292 0.2534 0.0000 I
0.2292 0.7466 0.0000 I
0.2534 0.2292 0.5000 I
0.2534 0.7708 0.5000 I
0.7466 0.2292 0.5000 I
0.7466 0.7708 0.5000 I
0.7708 0.2534 0.0000 I
0.7708 0.7466 0.0000 I
```

6.
This entry pairs a crystal structure of Th3Bi2 with its computed powder X-ray diffraction pattern. Radiation: Cu Ka. Structure: a PBE-relaxed structure.
No peak broadening, texture or thermal motion is included.

Largest 8 diffraction maxima, most intense first, 2θ = 5–70°:
d [Å], Rel. int.
2.860, 1000
2.936, 507
2.711, 311
2.680, 279
3.633, 236
1.490, 207
2.610, 206
1.559, 194

```
Th3Bi2
1.0
9.1080 0.0000 0.0000
0.0000 8.4127 0.0000
0.0000 0.0000 8.6369
Th Bi
12 8
direct
0.0000 0.1382 0.2500 Th
0.0000 0.8618 0.7500 Th
0.1564 0.4886 0.6238 Th
0.1564 0.5114 0.1238 Th
0.3436 0.0114 0.1238 Th
0.3436 0.9886 0.6238 Th
0.5000 0.3618 0.7500 Th
0.5000 0.6382 0.2500 Th
0.6564 0.0114 0.3762 Th
0.6564 0.9886 0.8762 Th
0.8436 0.4886 0.8762 Th
0.8436 0.5114 0.3762 Th
0.1484 0.2099 0.8845 Bi
0.1484 0.7901 0.3845 Bi
0.3516 0.2901 0.3845 Bi
0.3516 0.7099 0.8845 Bi
0.6484 0.2901 0.1155 Bi
0.6484 0.7099 0.6155 Bi
0.8516 0.2099 0.6155 Bi
0.8516 0.7901 0.1155 Bi
```

7.
This entry pairs a crystal structure of CaPrGaHg with its computed powder X-ray diffraction pattern. Radiation: Cu Ka. Structure: a PBE-relaxed structure.
No peak broadening, texture or thermal motion is included.

Largest 8 diffraction maxima, most intense first, 2θ = 5–70°:
d [Å], Rel. int.
2.669, 1000
1.541, 372
4.358, 275
1.887, 180
2.276, 160
1.732, 72
1.453, 55
3.774, 43

```
CaPrGaHg
1.0
0.0000 3.7740 3.7740
3.7740 0.0000 3.7740
3.7740 3.7740 0.0000
Ca Pr Ga Hg
1 1 1 1
direct
0.0000 0.0000 0.0000 Ca
0.5000 0.5000 0.5000 Pr
0.7500 0.7500 0.7500 Ga
0.2500 0.2500 0.2500 Hg
```